Calculated powder diffraction line list of Er2AlRu3 for Cu Ka, from a DFT-relaxed cell (GGA-PBE, Alexandria).
Kinematic intensities with the Lorentz-polarization factor, no thermal factor.

Crystal structure
```
Er2AlRu3
1.0
5.4339 0.0000 0.0000
-2.7170 4.7059 0.0000
0.0000 0.0000 8.3761
Er Al Ru
4 2 6
direct
0.3333 0.6667 0.0658 Er
0.3333 0.6667 0.4342 Er
0.6667 0.3333 0.5658 Er
0.6667 0.3333 0.9342 Er
0.0000 0.0000 0.0000 Al
0.0000 0.0000 0.5000 Al
0.1714 0.3428 0.7500 Ru
0.1714 0.8286 0.7500 Ru
0.3428 0.1714 0.2500 Ru
0.6572 0.8286 0.7500 Ru
0.8286 0.1714 0.2500 Ru
0.8286 0.6572 0.2500 Ru
```

Peak list (10 most intense, 2θ = 10–80°, sorted by position)
28.53 deg, rel. 24, (1 0 2); 32.97 deg, rel. 34, (1 1 0); 37.45 deg, rel. 100, (1 0 3); 38.25 deg, rel. 30, (2 0 0); 39.54 deg, rel. 80, (1 1 2); 39.79 deg, rel. 92, (2 0 1); 61.85 deg, rel. 42, (2 1 3); 63.31 deg, rel. 20, (3 0 2); 68.79 deg, rel. 33, (2 0 5); 69.15 deg, rel. 27, (2 2 0)